Starting from a structure optimized by DFT (PBE), the XRD peak list of NaRe3 was calculated for CuKα.

a b c (Å): 6.251 6.251 6.251
angles (deg): 90.00 90.00 90.00
Space group Fm-3m (No. 225)
Unique sites:
Na  0.000  0.000  0.000 x4
Re  0.000  0.000  0.500 x4
Re  0.250  0.250  0.250 x8

Peak list (10 most intense, 2θ from 15° to 90°, sorted by position)
- d 3.609, I 19
- d 3.125, I 10
- d 2.210, I 100
- d 1.885, I 10
- d 1.563, I 17
- d 1.434, I 4
- d 1.398, I 4
- d 1.276, I 35
- d 1.203, I 3
- d 1.105, I 11



Starting from a structure optimized by DFT (PBE), the XRD peak list of Na3Rh was calculated for CuKα.

a b c (Å): 9.020 5.076 8.792
angles (deg): 90.00 90.00 90.00
Space group Pnma (No. 62)
Unique sites:
Na  0.054  0.250  0.118 x4
Na  0.099  0.750  0.538 x4
Na  0.209  0.250  0.742 x4
Rh  0.232  0.250  0.408 x4

Peak list (10 most intense, 2θ from 15° to 90°, sorted by position)
- d 4.510, I 42
- d 4.396, I 33
- d 3.952, I 100
- d 2.538, I 84
- d 2.482, I 82
- d 2.212, I 40
- d 2.135, I 20
- d 1.774, I 25
- d 1.634, I 18
- d 1.454, I 23



Starting from a structure optimized by DFT (PBE), the XRD peak list of Na3Rh was calculated for CuKα.

a b c (Å): 4.587 4.587 8.568
angles (deg): 90.00 90.00 90.00
Space group I4/mmm (No. 139)
Unique sites:
Na  0.000  0.000  0.000 x2
Na  0.000  0.500  0.250 x4
Rh  0.000  0.000  0.500 x2

Peak list (10 most intense, 2θ from 15° to 90°, sorted by position)
- d 4.284, I 19
- d 4.044, I 67
- d 3.244, I 19
- d 2.586, I 100
- d 2.424, I 17
- d 2.294, I 35
- d 2.142, I 14
- d 1.995, I 19
- d 1.565, I 20
- d 1.374, I 25



Starting from a structure optimized by DFT (PBE), the XRD peak list of Na3Rh was calculated for CuKα.

a b c (Å): 6.3585 6.3585 5.2139
angles (deg): 90.00 90.00 120.00
Space group P6_3/mmc (No. 194)
Unique sites:
Na  0.1775  0.3549  0.2500 x6
Rh  0.3333  0.6667  0.7500 x2

Peak list (10 most intense, 2θ from 15° to 90°, sorted by position)
- d 5.507, I 37
- d 3.786, I 62
- d 3.179, I 30
- d 2.753, I 24
- d 2.607, I 28
- d 2.435, I 100
- d 1.933, I 25
- d 1.590, I 16
- d 1.470, I 19
- d 1.357, I 18



Starting from a structure optimized by DFT (PBE), the XRD peak list of Na3Ru was calculated for CuKα.

a b c (Å): 4.479 4.479 9.159
angles (deg): 90.00 90.00 90.00
Space group I4/mmm (No. 139)
Unique sites:
Na  0.000  0.000  0.000 x2
Na  0.000  0.500  0.250 x4
Ru  0.000  0.000  0.500 x2

Peak list (10 most intense, 2θ from 15° to 90°, sorted by position)
- d 4.580, I 21
- d 4.023, I 63
- d 3.167, I 17
- d 2.605, I 100
- d 2.523, I 18
- d 2.290, I 17
- d 2.239, I 32
- d 1.957, I 17
- d 1.601, I 21
- d 1.353, I 28



Starting from a structure optimized by DFT (PBE), the XRD peak list of Na3Ru was calculated for CuKα.

a b c (Å): 9.410 9.410 4.795
angles (deg): 90.00 90.00 90.00
Space group P4_2/mnm (No. 136)
Unique sites:
Na  0.032  0.302  0.000 x8
Na  0.122  0.878  0.500 x4
Ru  0.209  0.209  0.500 x4

Peak list (10 most intense, 2θ from 15° to 90°, sorted by position)
- d 4.705, I 100
- d 4.208, I 31
- d 3.890, I 97
- d 2.625, I 100
- d 2.610, I 28
- d 2.528, I 96
- d 2.397, I 36
- d 2.292, I 28
- d 2.136, I 24
- d 1.300, I 22



Starting from a structure optimized by DFT (PBE), the XRD peak list of Na3Ru was calculated for CuKα.

a b c (Å): 6.4772 6.4772 5.3346
angles (deg): 90.00 90.00 120.00
Space group P6_3/mmc (No. 194)
Unique sites:
Na  0.1778  0.3557  0.2500 x6
Ru  0.3333  0.6667  0.7500 x2

Peak list (10 most intense, 2θ from 15° to 90°, sorted by position)
- d 5.609, I 35
- d 3.866, I 59
- d 3.239, I 29
- d 2.805, I 24
- d 2.667, I 28
- d 2.483, I 100
- d 1.970, I 25
- d 1.619, I 16
- d 1.502, I 19
- d 1.384, I 19



Starting from a structure optimized by DFT (PBE), the XRD peak list of NaS was calculated for CuKα.

a b c (Å): 7.6850 7.6850 5.3910
angles (deg): 90.00 90.00 120.00
Space group P-62m (No. 189)
Unique sites:
Na  0.0000  0.3105  0.0000 x3
Na  0.0000  0.6440  0.5000 x3
S  0.0000  0.0000  0.3018 x2
S  0.3333  0.6667  0.1998 x4

Peak list (10 most intense, 2θ from 15° to 90°, sorted by position)
- d 3.842, I 78
- d 3.129, I 79
- d 2.832, I 16
- d 2.218, I 100
- d 2.207, I 92
- d 1.810, I 13
- d 1.628, I 11
- d 1.565, I 27
- d 1.281, I 13
- d 1.279, I 26



Starting from a structure optimized by DFT (PBE), the XRD peak list of NaS was calculated for CuKα.

a b c (Å): 4.5143 4.5143 10.2841
angles (deg): 90.00 90.00 120.00
Space group P6_3/mmc (No. 194)
Unique sites:
Na  0.0000  0.0000  0.0000 x2
Na  0.3333  0.6667  0.2500 x2
S  0.3333  0.6667  0.6446 x4

Peak list (10 most intense, 2θ from 15° to 90°, sorted by position)
- d 3.910, I 18
- d 3.654, I 40
- d 3.112, I 79
- d 2.577, I 46
- d 2.257, I 100
- d 2.148, I 22
- d 1.827, I 15
- d 1.820, I 44
- d 1.417, I 18
- d 1.200, I 20



Starting from a structure optimized by DFT (PBE), the XRD peak list of NaS was calculated for CuKα.

a b c (Å): 3.401 3.401 3.401
angles (deg): 90.00 90.00 90.00
Space group Pm-3m (No. 221)
Unique sites:
Na  0.000  0.000  0.000 x1
S  0.500  0.500  0.500 x1

Peak list (8 most intense, 2θ from 15° to 90°, sorted by position)
- d 3.401, I 4
- d 2.405, I 100
- d 1.963, I 1
- d 1.700, I 16
- d 1.521, I 1
- d 1.388, I 30
- d 1.202, I 9
- d 1.134, I 1



Starting from a structure optimized by DFT (PBE), the XRD peak list of NaS was calculated for CuKα.

a b c (Å): 5.740 5.740 5.740
angles (deg): 90.00 90.00 90.00
Space group Fm-3m (No. 225)
Unique sites:
Na  0.000  0.000  0.000 x4
S  0.000  0.000  0.500 x4

Peak list (10 most intense, 2θ from 15° to 90°, sorted by position)
- d 3.314, I 5
- d 2.870, I 100
- d 2.029, I 67
- d 1.731, I 1
- d 1.657, I 22
- d 1.435, I 10
- d 1.317, I 1
- d 1.283, I 26
- d 1.172, I 19
- d 1.105, I 1



Starting from a structure optimized by DFT (PBE), the XRD peak list of Na2S5 was calculated for CuKα.

a b c (Å): 7.806 14.757 5.917
angles (deg): 90.00 90.00 90.00
Space group Pnma (No. 62)
Unique sites:
Na  0.000  0.000  0.000 x4
Na  0.053  0.250  0.199 x4
S  0.045  0.635  0.392 x8
S  0.143  0.750  0.234 x4
S  0.203  0.603  0.662 x8

Peak list (10 most intense, 2θ from 15° to 90°, sorted by position)
- d 4.492, I 39
- d 3.776, I 80
- d 3.404, I 30
- d 2.981, I 44
- d 2.906, I 100
- d 2.746, I 23
- d 2.717, I 100
- d 1.854, I 22
- d 1.844, I 22
- d 1.727, I 22



Starting from a structure optimized by DFT (PBE), the XRD peak list of Na3SbS4 was calculated for CuKα.

a b c (Å): 7.254 7.254 7.254
angles (deg): 90.00 90.00 90.00
Space group I-43m (No. 217)
Unique sites:
Na  0.000  0.000  0.500 x6
Sb  0.000  0.000  0.000 x2
S  0.188  0.188  0.188 x8

Peak list (10 most intense, 2θ from 15° to 90°, sorted by position)
- d 5.129, I 100
- d 3.627, I 14
- d 2.961, I 50
- d 2.565, I 87
- d 1.939, I 38
- d 1.710, I 30
- d 1.622, I 22
- d 1.481, I 18
- d 1.423, I 17
- d 1.177, I 17



Starting from a structure optimized by DFT (PBE), the XRD peak list of Na4SeS was calculated for CuKα.

a b c (Å): 4.750 4.750 6.724
angles (deg): 90.00 90.00 90.00
Space group P4/mmm (No. 123)
Unique sites:
Na  0.000  0.500  0.244 x4
Se  0.000  0.000  0.500 x1
S  0.500  0.500  0.000 x1

Peak list (10 most intense, 2θ from 15° to 90°, sorted by position)
- d 4.750, I 9
- d 3.880, I 75
- d 2.376, I 100
- d 2.026, I 35
- d 1.680, I 16
- d 1.542, I 14
- d 1.372, I 31
- d 1.293, I 10
- d 1.188, I 9
- d 1.136, I 11